Simulated PXRD pattern
Compound: LaZrTa3O11
Radiation: copper Kα
Structure: a cell relaxed with PBE
Lines closer than 0.1° are merged.

Main lines, in order of rising 2θ (5 to 70 degrees two-theta):
2theta	intensity	index
16.1	76	1 1 0
21.5	33	0 2 2
28.4	75	0 0 4
29.0	71	2 0 -1
29.0	35	1 3 1
31.5	100	1 3 -2
31.6	50	1 3 2
49.7	35	3 3 0
52.3	24	1 3 6
58.3	38	0 6 4

```
data_LaZrTa3O11
_cell_length_a 6.3658
_cell_length_b 10.9858
_cell_length_c 12.5848
_cell_angle_alpha 90.00
_cell_angle_beta 90.20
_cell_angle_gamma 90.00
_symmetry_space_group_name_H-M 'C 1 2 1'
_symmetry_Int_Tables_number 5
_symmetry_space_group_name_Hall 'C 2y'
loop_
_atom_site_label
_atom_site_type_symbol
_atom_site_fract_x
_atom_site_fract_y
_atom_site_fract_z
La1 La 0.0000 0.0000 0.0000
La2 La 0.0000 0.3356 0.5000
Zr1 Zr 0.1802 0.8489 0.2492
Ta1 Ta 0.0000 0.3343 0.0000
Ta2 Ta 0.0000 0.9988 0.5000
Ta3 Ta 0.1428 0.1699 0.2513
Ta4 Ta 0.1798 0.4913 0.2494
O1 O 0.0045 0.0043 0.7912
O2 O 0.0046 0.3348 0.2912
O3 O 0.0919 0.1976 0.0946
O4 O 0.0938 0.1396 0.4056
O5 O 0.1229 0.5471 0.7496
O6 O 0.1336 0.7900 0.7509
O7 O 0.1544 0.4523 0.0956
O8 O 0.1618 0.8849 0.4143
O9 O 0.2430 0.8579 0.0850
O10 O 0.2467 0.4820 0.4044
O11 O 0.2471 0.6632 0.2503
```